Structure and simulated powder X-ray diffraction pattern of Ta3CN (a crystal structure in Alexandria, relaxed with PBE; Cu Ka).

Peak list (10 most intense, 2θ = 5–70°, in order of rising 2θ)
hkl	2θ/deg	d/Å	I_rel
1 0 0	19.65	4.518	1
0 0 2	32.54	2.751	31
1 1 0	34.38	2.608	18
1 1 1	38.18	2.357	100
1 1 2	48.07	1.893	20
2 0 2	52.41	1.746	1
2 1 1	56.42	1.631	1
3 0 0	61.58	1.506	18
1 1 3	61.84	1.500	25
0 0 4	68.17	1.376	4

Structural model:
```
data_Ta3CN
_chemical_formula_sum 'Ta6 C2 N2'
_symmetry_space_group_name_H-M 'P -6 c 2'
_symmetry_Int_Tables_number 188
_symmetry_space_group_name_Hall 'P -6c 2'
_cell_length_a 5.2167
_cell_length_b 5.2167
_cell_length_c 5.5026
_cell_angle_alpha 90.00
_cell_angle_beta 90.00
_cell_angle_gamma 120.00
loop_
_atom_site_label
_atom_site_type_symbol
_atom_site_fract_x
_atom_site_fract_y
_atom_site_fract_z
Ta1 Ta 0.9997 0.3436 0.2500
C1 C 0.6667 0.3333 0.0000
N1 N 0.3333 0.6667 0.0000
```

=====

Structure and simulated powder X-ray diffraction pattern of SrPdPt2O4 (a crystal structure in Alexandria, relaxed with PBE; Cu Ka).

Peak list (10 most intense, 2θ = 5–70°, in order of rising 2θ)
hkl	2θ/deg	d/Å	I_rel
1 0 1	18.79	4.722	39
1 1 0	19.27	4.605	25
0 2 0	27.03	3.298	56
2 0 0	27.74	3.216	83
1 1 2	32.25	2.775	100
2 2 0	39.12	2.303	43
1 0 3	41.39	2.181	21
2 1 3	50.46	1.809	22
1 3 2	51.16	1.786	33
3 1 2	52.00	1.759	29

Structural model:
```
data_SrPdPt2O4
_chemical_formula_sum 'Sr2 Pd2 Pt4 O8'
_symmetry_space_group_name_H-M 'I m m m'
_symmetry_Int_Tables_number 71
_symmetry_space_group_name_Hall '-I 2 2'
_cell_length_a 6.432
_cell_length_b 6.597
_cell_length_c 6.956
_cell_angle_alpha 90.00
_cell_angle_beta 90.00
_cell_angle_gamma 90.00
loop_
_atom_site_label
_atom_site_type_symbol
_atom_site_fract_x
_atom_site_fract_y
_atom_site_fract_z
Sr1 Sr 0.000 0.000 0.000
Pd1 Pd 0.000 0.000 0.500
Pt1 Pt 0.000 0.500 0.318
O1 O 0.000 0.213 0.291
```

=====

Structure and simulated powder X-ray diffraction pattern of CdBH6I (a crystal structure in Alexandria, relaxed with PBE; Cu Ka).

Peak list (10 most intense, 2θ = 5–70°, in order of rising 2θ)
hkl	2θ/deg	d/Å	I_rel
0 2 0	13.07	6.776	34
1 1 0	18.41	4.820	36
0 2 1	24.78	3.592	64
1 3 0	26.23	3.397	95
1 1 1	28.04	3.182	100
0 4 1	33.88	2.646	31
2 2 1	43.18	2.095	31
1 5 1	43.34	2.088	30
2 4 1	49.35	1.847	20
1 3 2	50.79	1.798	29

Structural model:
```
data_CdBH6I
_chemical_formula_sum 'Cd2 B2 H12 I2'
_symmetry_space_group_name_H-M 'C 1 2 1'
_symmetry_Int_Tables_number 5
_symmetry_space_group_name_Hall 'C 2y'
_cell_length_a 5.158
_cell_length_b 13.552
_cell_length_c 4.237
_cell_angle_alpha 90.00
_cell_angle_beta 90.07
_cell_angle_gamma 90.00
loop_
_atom_site_label
_atom_site_type_symbol
_atom_site_fract_x
_atom_site_fract_y
_atom_site_fract_z
Cd1 Cd 0.000 0.000 0.000
B1 B 0.000 0.308 0.000
H1 H 0.001 0.355 0.237
H2 H 0.197 0.250 0.107
H3 H 0.197 0.250 0.892
I1 I 0.000 0.670 0.500
```

=====

Structure and simulated powder X-ray diffraction pattern of Er4AsSeS2 (a crystal structure in Alexandria, relaxed with PBE; Cu Ka).

Peak list (10 most intense, 2θ = 5–70°, in order of rising 2θ)
hkl	2θ/deg	d/Å	I_rel
0 0 2	15.76	5.623	2
1 1 2	27.54	3.238	64
0 0 4	31.83	2.811	46
2 0 0	31.95	2.801	91
2 2 0	45.75	1.983	100
1 1 6	54.14	1.694	10
3 1 2	54.29	1.690	21
2 2 4	56.86	1.619	35
0 0 8	66.52	1.406	5
4 0 0	66.80	1.401	11

Structural model:
```
data_Er4AsSeS2
_chemical_formula_sum 'Er8 As2 Se2 S4'
_symmetry_space_group_name_H-M 'I 4/m m m'
_symmetry_Int_Tables_number 139
_symmetry_space_group_name_Hall '-I 4 2'
_cell_length_a 5.602
_cell_length_b 5.602
_cell_length_c 11.245
_cell_angle_alpha 90.00
_cell_angle_beta 90.00
_cell_angle_gamma 90.00
loop_
_atom_site_label
_atom_site_type_symbol
_atom_site_fract_x
_atom_site_fract_y
_atom_site_fract_z
Er1 Er 0.000 0.000 0.246
Er2 Er 0.000 0.500 0.000
As1 As 0.000 0.000 0.000
Se1 Se 0.000 0.000 0.500
S1 S 0.000 0.500 0.250
```